Starting from a crystal structure in the Materials Project, relaxed with GGA+U, the XRD peak list of Co4B6O13 was calculated for Cu Kα (λ = 1.5418 Å).
Kinematic intensities with the Lorentz-polarization factor, no thermal factor.

Principal peaks in the range 2θ from 5° to 70°, sorted by position:
2θ = 16.62°, intensity 5
2θ = 29.00°, intensity 100
2θ = 37.71°, intensity 23
2θ = 44.96°, intensity 19
2θ = 48.26°, intensity 13
2θ = 51.39°, intensity 39
2θ = 54.39°, intensity 3
2θ = 60.09°, intensity 8
2θ = 62.81°, intensity 8
2θ = 68.08°, intensity 12

Cell and atoms:
Cell: 6.533 6.533 6.533 Å, 109.47 109.47 109.47°
Element x y z (fractional)
Co (0.000, 0.000, 0.307)
Co (0.000, 0.307, 0.000)
Co (0.307, 0.000, 0.000)
Co (0.693, 0.693, 0.693)
B (0.250, 0.500, 0.750)
B (0.250, 0.750, 0.500)
B (0.500, 0.250, 0.750)
B (0.500, 0.750, 0.250)
B (0.750, 0.250, 0.500)
B (0.750, 0.500, 0.250)
O (0.000, 0.000, 0.000)
O (0.000, 0.276, 0.558)
O (0.000, 0.558, 0.276)
O (0.276, 0.000, 0.558)
O (0.276, 0.558, 0.000)
O (0.282, 0.724, 0.724)
O (0.442, 0.442, 0.718)
O (0.442, 0.718, 0.442)
O (0.558, 0.000, 0.276)
O (0.558, 0.276, 0.000)
O (0.718, 0.442, 0.442)
O (0.724, 0.282, 0.724)
O (0.724, 0.724, 0.282)